1.
For TaI4, DFT lattice parameters and positions (PBE) gives the calculated powder XRD pattern in this record (Cu Kα (weighted mean of Kα1 and Kα2)).
Intensities are scaled so that the largest is 100.

Largest 10 diffraction maxima, sorted by position, 2θ from 5° to 70°:
2θ 11.88, intensity 59
2θ 13.91, intensity 71
2θ 25.29, intensity 16
2θ 26.97, intensity 20
2θ 27.09, intensity 43
2θ 28.94, intensity 100
2θ 35.07, intensity 35
2θ 36.56, intensity 37
2θ 43.31, intensity 31
2θ 46.92, intensity 31

Structural model:
```
data_TaI4
_symmetry_space_group_name_H-M 'C m c 21'
_symmetry_Int_Tables_number 36
_cell_length_a 7.7366
_cell_length_b 14.0848
_cell_length_c 14.8941
_cell_angle_alpha 90.00
_cell_angle_beta 90.00
_cell_angle_gamma 90.00
loop_
_symmetry_equiv_pos_as_xyz
'x,y,z'
'-x,-y,z+1/2'
'-x,y,z'
'x,-y,z+1/2'
'x+1/2,y+1/2,z'
'-x+1/2,-y+1/2,z+1/2'
'-x+1/2,y+1/2,z'
'x+1/2,-y+1/2,z+1/2'
loop_
_atom_site_label
_atom_site_type_symbol
_atom_site_fract_x
_atom_site_fract_y
_atom_site_fract_z
Ta1 Ta 0.2108 0.1238 0.0000
I1 I 0.0000 0.0080 0.5841
I2 I 0.0000 0.2554 0.9158
I3 I 0.0000 0.2653 0.4290
I4 I 0.0000 0.4871 0.5712
I5 I 0.2433 0.2311 0.1504
I6 I 0.2443 0.0163 0.8498
```



2.
For Ta2I, DFT lattice parameters and positions (PBE) gives the calculated powder XRD pattern in this record (Cu Kα (weighted mean of Kα1 and Kα2)).
Intensities are scaled so that the largest is 100.

Largest 10 diffraction maxima, sorted by position, 2θ from 5° to 70°:
2θ 19.03, intensity 19
2θ 31.32, intensity 17
2θ 36.91, intensity 100
2θ 38.61, intensity 53
2θ 44.88, intensity 11
2θ 49.16, intensity 5
2θ 55.75, intensity 7
2θ 59.46, intensity 33
2θ 65.35, intensity 31
2θ 68.75, intensity 4

Structural model:
a = 8.0778 Å, b = 8.0778 Å, c = 8.0778 Å
α = 90.00°, β = 90.00°, γ = 90.00°
Space group Fd-3m (No. 227, origin choice 2)
Asymmetric unit:
Ta1 0.0000 0.0000 0.0000
I1 0.1250 0.1250 0.6250



3.
For TbI3, DFT lattice parameters and positions (PBE) gives the calculated powder XRD pattern in this record (Cu Kα (weighted mean of Kα1 and Kα2)).
Intensities are scaled so that the largest is 100.

Largest 10 diffraction maxima, sorted by position, 2θ from 5° to 70°:
2θ 16.06, intensity 39
2θ 21.91, intensity 20
2θ 26.98, intensity 100
2θ 35.26, intensity 55
2θ 41.58, intensity 41
2θ 46.20, intensity 23
2θ 50.27, intensity 18
2θ 55.63, intensity 15
2θ 67.22, intensity 15
2θ 69.51, intensity 18

Structural model:
```
data_TbI3
_symmetry_space_group_name_H-M 'R -3 c'
_symmetry_Int_Tables_number 167
_symmetry_space_group_name_Hall '-R 3 2"c'
_cell_length_a 7.5240
_cell_length_b 7.5240
_cell_length_c 20.7390
_cell_angle_alpha 90.00
_cell_angle_beta 90.00
_cell_angle_gamma 120.00
loop_
_atom_site_label
_atom_site_type_symbol
_atom_site_fract_x
_atom_site_fract_y
_atom_site_fract_z
Tb1 Tb 0.0000 0.0000 0.0000
I1 I 0.0000 0.3321 0.2500
```



4.
For TcI4, DFT lattice parameters and positions (PBE) gives the calculated powder XRD pattern in this record (Cu Kα (weighted mean of Kα1 and Kα2)).
Intensities are scaled so that the largest is 100.

Largest 10 diffraction maxima, sorted by position, 2θ from 5° to 70°:
2θ 12.68, intensity 49
2θ 16.69, intensity 23
2θ 25.53, intensity 40
2θ 28.44, intensity 100
2θ 30.01, intensity 43
2θ 30.16, intensity 45
2θ 35.63, intensity 31
2θ 41.16, intensity 19
2θ 45.43, intensity 53
2θ 48.90, intensity 26

Structural model:
```
data_TcI4
_symmetry_space_group_name_H-M 'C m m m'
_symmetry_Int_Tables_number 65
_symmetry_space_group_name_Hall '-C 2 2'
_cell_length_a 9.2573
_cell_length_b 10.6229
_cell_length_c 3.8897
_cell_angle_alpha 90.00
_cell_angle_beta 90.00
_cell_angle_gamma 90.00
loop_
_atom_site_label
_atom_site_type_symbol
_atom_site_fract_x
_atom_site_fract_y
_atom_site_fract_z
Tc1 Tc 0.0000 0.0000 0.0000
I1 I 0.0000 0.1837 0.5000
I2 I 0.2092 0.5000 0.0000
```



5.
For TcI4, DFT lattice parameters and positions (PBE) gives the calculated powder XRD pattern in this record (Cu Kα (weighted mean of Kα1 and Kα2)).
Intensities are scaled so that the largest is 100.

Largest 10 diffraction maxima, sorted by position, 2θ from 5° to 70°:
2θ 10.64, intensity 34
2θ 13.94, intensity 65
2θ 25.80, intensity 41
2θ 25.93, intensity 57
2θ 28.17, intensity 74
2θ 28.19, intensity 73
2θ 28.76, intensity 100
2θ 31.79, intensity 71
2θ 41.46, intensity 34
2θ 44.75, intensity 60

Structural model:
```
data_TcI4
_symmetry_space_group_name_H-M 'P 1 21/c 1'
_symmetry_Int_Tables_number 14
_cell_length_a 16.6233
_cell_length_b 6.9574
_cell_length_c 13.7471
_cell_angle_alpha 90.00
_cell_angle_beta 90.07
_cell_angle_gamma 90.00
loop_
_symmetry_equiv_pos_as_xyz
'x,y,z'
'-x,-y,-z'
'-x,y+1/2,-z+1/2'
'x,-y+1/2,z+1/2'
loop_
_atom_site_label
_atom_site_type_symbol
_atom_site_fract_x
_atom_site_fract_y
_atom_site_fract_z
Tc1 Tc 0.1812 0.0917 0.1273
Tc2 Tc 0.3195 0.5918 0.1275
I1 I 0.0722 0.5504 0.7469
I2 I 0.0740 0.2361 0.0055
I3 I 0.1945 0.7359 0.5163
I4 I 0.1957 0.0828 0.7386
I5 I 0.3051 0.5827 0.7387
I6 I 0.3060 0.2360 0.5165
I7 I 0.4264 0.7363 0.0059
I8 I 0.4285 0.0503 0.7474
```



6.
For Th2I, DFT lattice parameters and positions (PBE) gives the calculated powder XRD pattern in this record (Cu Kα (weighted mean of Kα1 and Kα2)).
Intensities are scaled so that the largest is 100.

Largest 10 diffraction maxima, sorted by position, 2θ from 5° to 70°:
2θ 11.16, intensity 100
2θ 21.47, intensity 12
2θ 22.43, intensity 42
2θ 25.96, intensity 11
2θ 28.34, intensity 35
2θ 37.04, intensity 30
2θ 38.81, intensity 31
2θ 43.74, intensity 23
2θ 47.29, intensity 18
2θ 61.54, intensity 12

Structural model:
a = 13.7283 Å, b = 13.7283 Å, c = 13.7283 Å
α = 90.00°, β = 90.00°, γ = 90.00°
Space group Fd-3m (No. 227, origin choice 2)
Asymmetric unit:
Th1 0.0000 0.0000 0.0000
I1 0.1250 0.1250 0.1250



7.
For TmI2, DFT lattice parameters and positions (PBE) gives the calculated powder XRD pattern in this record (Cu Kα (weighted mean of Kα1 and Kα2)).
Intensities are scaled so that the largest is 100.

Largest 10 diffraction maxima, sorted by position, 2θ from 5° to 70°:
2θ 11.54, intensity 100
2θ 26.90, intensity 32
2θ 27.37, intensity 40
2θ 28.47, intensity 94
2θ 29.09, intensity 26
2θ 32.84, intensity 61
2θ 36.47, intensity 46
2θ 42.67, intensity 31
2θ 44.59, intensity 70
2θ 67.13, intensity 41

Structural model:
```
data_TmI2
_symmetry_space_group_name_H-M 'R -3 m'
_symmetry_Int_Tables_number 166
_symmetry_space_group_name_Hall '-R 3 2"'
_cell_length_a 4.0642
_cell_length_b 4.0642
_cell_length_c 69.0047
_cell_angle_alpha 90.00
_cell_angle_beta 90.00
_cell_angle_gamma 120.00
loop_
_atom_site_label
_atom_site_type_symbol
_atom_site_fract_x
_atom_site_fract_y
_atom_site_fract_z
Tm1 Tm 0.0000 0.0000 0.0000
Tm2 Tm 0.0000 0.0000 0.4444
I1 I 0.0000 0.0000 0.1391
I2 I 0.0000 0.0000 0.2502
I3 I 0.0000 0.0000 0.3613
```



8.
For TmI3, DFT lattice parameters and positions (PBE) gives the calculated powder XRD pattern in this record (Cu Kα (weighted mean of Kα1 and Kα2)).
Intensities are scaled so that the largest is 100.

Largest 10 diffraction maxima, sorted by position, 2θ from 5° to 70°:
2θ 16.25, intensity 47
2θ 22.23, intensity 21
2θ 27.28, intensity 100
2θ 35.76, intensity 58
2θ 37.92, intensity 16
2θ 41.95, intensity 43
2θ 46.95, intensity 22
2θ 50.76, intensity 18
2θ 56.27, intensity 16
2θ 67.89, intensity 15

Structural model:
```
data_TmI3
_symmetry_space_group_name_H-M 'R -3 c'
_symmetry_Int_Tables_number 167
_symmetry_space_group_name_Hall '-R 3 2"c'
_cell_length_a 7.4611
_cell_length_b 7.4611
_cell_length_c 20.3708
_cell_angle_alpha 90.00
_cell_angle_beta 90.00
_cell_angle_gamma 120.00
loop_
_atom_site_label
_atom_site_type_symbol
_atom_site_fract_x
_atom_site_fract_y
_atom_site_fract_z
Tm1 Tm 0.0000 0.0000 0.0000
I1 I 0.0000 0.3367 0.2500
```



9.
For WI6, DFT lattice parameters and positions (PBE) gives the calculated powder XRD pattern in this record (Cu Kα (weighted mean of Kα1 and Kα2)).
Intensities are scaled so that the largest is 100.

Largest 10 diffraction maxima, sorted by position, 2θ from 5° to 70°:
2θ 14.48, intensity 33
2θ 20.13, intensity 18
2θ 28.03, intensity 13
2θ 28.91, intensity 100
2θ 38.05, intensity 33
2θ 41.55, intensity 9
2θ 44.42, intensity 28
2θ 50.15, intensity 22
2θ 53.35, intensity 11
2θ 53.87, intensity 16

Structural model:
```
data_WI6
_symmetry_space_group_name_H-M 'P -3 1 m'
_symmetry_Int_Tables_number 162
_symmetry_space_group_name_Hall '-P 3 2'
_cell_length_a 7.0651
_cell_length_b 7.0651
_cell_length_c 6.3664
_cell_angle_alpha 90.00
_cell_angle_beta 90.00
_cell_angle_gamma 120.00
loop_
_atom_site_label
_atom_site_type_symbol
_atom_site_fract_x
_atom_site_fract_y
_atom_site_fract_z
W1 W 0.0000 0.0000 0.0000
I1 I 0.0000 0.3132 0.7550
```